# 1
Diffraction record for MgMn4O4F4. The powder diffraction line list is theoretical, not measured: it uses a PBE+U-relaxed structure and a wavelength of 1.5418 Å.
Peak positions follow from Bragg's law for the DFT cell and can differ from measured ones.

abc: 5.287 5.752 5.938
angles: 84.60 72.87 84.01
Space group P1 (No. 1)
Asymmetric unit:
Mg 0.000 0.000 0.000 (multiplicity 1)
Mn 0.087 0.493 0.125 (multiplicity 1)
Mn 0.124 0.003 0.465 (multiplicity 1)
Mn 0.550 0.306 0.558 (multiplicity 1)
Mn 0.590 0.777 0.819 (multiplicity 1)
O 0.333 0.005 0.705 (multiplicity 1)
O 0.398 0.512 0.835 (multiplicity 1)
O 0.850 0.691 0.001 (multiplicity 1)
O 0.886 0.219 0.265 (multiplicity 1)
F 0.280 0.844 0.151 (multiplicity 1)
F 0.316 0.351 0.324 (multiplicity 1)
F 0.785 0.099 0.779 (multiplicity 1)
F 0.875 0.709 0.490 (multiplicity 1)

Largest 10 diffraction maxima, by angle, 2θ from 15° to 90°:
- 19.94°, I 41, (1 0 1)
- 21.36°, I 61, (0 1 1)
- 26.87°, I 100, (1 -1 1)
- 31.36°, I 12, (-1 1 1)
- 34.86°, I 62, (1 2 0)
- 36.36°, I 16, (2 1 1)
- 43.65°, I 35, (-1 1 2)
- 45.54°, I 37, (2 -1 2)
- 53.24°, I 14, (2 2 -1)
- 56.49°, I 18, (3 -1 1)



# 2
Diffraction record for Cr4CdCuO8. The powder diffraction line list is theoretical, not measured: it uses a PBE+U-relaxed structure and a wavelength of 1.5418 Å.
Peak positions follow from Bragg's law for the DFT cell and can differ from measured ones.

abc: 8.632 8.632 8.632
angles: 90.00 90.00 90.00
Space group F-43m (No. 216)
Asymmetric unit:
Cr 0.125 0.125 0.125 (multiplicity 16)
Cd 0.250 0.250 0.750 (multiplicity 4)
Cu 0.000 0.000 0.500 (multiplicity 4)
O 0.107 0.107 0.893 (multiplicity 16)
O 0.138 0.138 0.362 (multiplicity 16)

Largest 10 diffraction maxima, by angle, 2θ from 15° to 90°:
- 29.26°, I 51, (2 2 0)
- 34.46°, I 100, (3 1 1)
- 41.86°, I 6, (4 0 0)
- 51.89°, I 18, (4 2 2)
- 55.30°, I 38, (5 1 1)
- 60.69°, I 38, (4 4 0)
- 68.78°, I 7, (6 2 0)
- 71.70°, I 11, (5 3 3)
- 83.88°, I 10, (6 4 2)
- 86.63°, I 17, (5 5 3)



# 3
Diffraction record for Li3TiFe4O8. The powder diffraction line list is theoretical, not measured: it uses a PBE+U-relaxed structure and a wavelength of 1.5418 Å.
Peak positions follow from Bragg's law for the DFT cell and can differ from measured ones.

abc: 10.381 6.101 6.062
angles: 90.00 125.66 90.00
Space group C2/m (No. 12)
Asymmetric unit:
Li 0.000 0.000 0.000 (multiplicity 2)
Li 0.250 0.250 0.500 (multiplicity 4)
Ti 0.000 0.500 0.500 (multiplicity 2)
Fe 0.000 0.000 0.500 (multiplicity 2)
Fe 0.000 0.500 0.000 (multiplicity 2)
Fe 0.250 0.250 0.000 (multiplicity 4)
O 0.005 0.272 0.261 (multiplicity 8)
O 0.233 0.500 0.744 (multiplicity 4)
O 0.245 0.500 0.246 (multiplicity 4)

Largest 10 diffraction maxima, by angle, 2θ from 15° to 90°:
- 18.01°, I 91, (2 0 -1)
- 20.65°, I 16, (1 1 -1)
- 34.59°, I 25, (0 2 1)
- 35.17°, I 15, (2 0 1)
- 36.35°, I 25, (2 2 0)
- 36.51°, I 24, (4 0 -2)
- 42.02°, I 100, (2 2 -2)
- 42.89°, I 47, (4 0 0)
- 61.15°, I 14, (4 0 -4)
- 61.60°, I 53, (2 2 2)



# 4
Diffraction record for Li5Fe8B8O24. The powder diffraction line list is theoretical, not measured: it uses a PBE+U-relaxed structure and a wavelength of 1.5418 Å.
Peak positions follow from Bragg's law for the DFT cell and can differ from measured ones.

abc: 5.303 9.029 11.184
angles: 66.25 78.20 89.63
Space group P1 (No. 1)
Asymmetric unit:
Li 0.000 0.000 0.000 (multiplicity 1)
Li 0.070 0.385 0.265 (multiplicity 1)
Li 0.319 0.633 0.739 (multiplicity 1)
Li 0.507 0.494 0.002 (multiplicity 1)
Li 0.747 0.762 0.507 (multiplicity 1)
Fe 0.014 0.683 0.967 (multiplicity 1)
Fe 0.076 0.065 0.226 (multiplicity 1)
Fe 0.261 0.600 0.476 (multiplicity 1)
Fe 0.314 0.992 0.716 (multiplicity 1)
Fe 0.519 0.180 0.974 (multiplicity 1)
Fe 0.576 0.572 0.223 (multiplicity 1)
Fe 0.768 0.117 0.480 (multiplicity 1)
Fe 0.827 0.464 0.728 (multiplicity 1)
B 0.024 0.350 0.978 (multiplicity 1)
B 0.075 0.733 0.215 (multiplicity 1)
B 0.274 0.936 0.473 (multiplicity 1)
B 0.319 0.315 0.727 (multiplicity 1)
B 0.519 0.852 0.972 (multiplicity 1)
B 0.569 0.233 0.221 (multiplicity 1)
B 0.785 0.448 0.466 (multiplicity 1)
B 0.810 0.817 0.719 (multiplicity 1)
O 0.041 0.965 0.421 (multiplicity 1)
O 0.052 0.808 0.756 (multiplicity 1)
O 0.113 0.192 0.030 (multiplicity 1)
O 0.178 0.484 0.958 (multiplicity 1)
O 0.197 0.186 0.720 (multiplicity 1)
O 0.219 0.466 0.687 (multiplicity 1)
O 0.286 0.875 0.926 (multiplicity 1)
O 0.293 0.690 0.264 (multiplicity 1)
O 0.363 0.047 0.515 (multiplicity 1)
O 0.397 0.801 0.485 (multiplicity 1)
O 0.448 0.118 0.193 (multiplicity 1)
O 0.454 0.377 0.206 (multiplicity 1)
O 0.539 0.298 0.778 (multiplicity 1)
O 0.559 0.480 0.416 (multiplicity 1)
O 0.605 0.693 0.016 (multiplicity 1)
O 0.657 0.973 0.978 (multiplicity 1)
O 0.691 0.962 0.689 (multiplicity 1)
O 0.696 0.687 0.711 (multiplicity 1)
O 0.786 0.368 0.942 (multiplicity 1)
O 0.808 0.208 0.257 (multiplicity 1)
O 0.862 0.550 0.520 (multiplicity 1)
O 0.929 0.329 0.451 (multiplicity 1)
O 0.956 0.619 0.181 (multiplicity 1)
O 0.978 0.879 0.197 (multiplicity 1)

Largest 10 diffraction maxima, by angle, 2θ from 15° to 90°:
- 19.67°, I 75, (0 2 1)
- 21.61°, I 100, (1 1 2)
- 21.70°, I 49, (1 -1 1)
- 25.92°, I 33, (1 1 -1)
- 26.04°, I 35, (-1 1 2)
- 33.83°, I 31, (2 0 1)
- 34.17°, I 39, (1 3 2)
- 34.36°, I 37, (-1 3 1)
- 35.98°, I 99, (0 0 4)
- 50.49°, I 28, (1 -1 5)



# 5
Diffraction record for Ba2LiNi2O6. The powder diffraction line list is theoretical, not measured: it uses a PBE+U-relaxed structure and a wavelength of 1.5418 Å.
Peak positions follow from Bragg's law for the DFT cell and can differ from measured ones.

abc: 5.7753 5.7753 7.2673
angles: 90.00 90.00 120.00
Space group P3m1 (No. 156)
Asymmetric unit:
Ba 0.0000 0.0000 0.0000 (multiplicity 1)
Ba 0.3333 0.6667 0.7618 (multiplicity 1)
Li 0.6667 0.3333 0.5654 (multiplicity 1)
Ni 0.6667 0.3333 0.1959 (multiplicity 1)
Ni 0.6667 0.3333 0.8746 (multiplicity 1)
O 0.3670 0.1835 0.7219 (multiplicity 3)
O 0.5135 0.0270 0.0504 (multiplicity 3)

Largest 10 diffraction maxima, by angle, 2θ from 15° to 90°:
- 21.57°, I 82, (1 0 1)
- 30.41°, I 70, (1 0 2)
- 30.97°, I 100, (1 1 0)
- 33.39°, I 59, (1 1 1)
- 38.05°, I 51, (0 2 1)
- 41.42°, I 44, (0 1 3)
- 43.95°, I 50, (2 0 2)
- 52.60°, I 32, (2 0 3)
- 54.73°, I 24, (1 2 2)
- 62.30°, I 30, (1 2 3)



# 6
Diffraction record for CaVBiO5. The powder diffraction line list is theoretical, not measured: it uses a PBE+U-relaxed structure and a wavelength of 1.5418 Å.
Peak positions follow from Bragg's law for the DFT cell and can differ from measured ones.

abc: 5.861 11.886 8.291
angles: 90.00 110.30 90.00
Space group P2_1/c (No. 14)
Asymmetric unit:
Ca 0.047 0.086 0.188 (multiplicity 4)
V 0.331 0.646 0.029 (multiplicity 4)
Bi 0.465 0.092 0.833 (multiplicity 4)
O 0.188 0.723 0.500 (multiplicity 4)
O 0.243 0.559 0.172 (multiplicity 4)
O 0.271 0.026 0.013 (multiplicity 4)
O 0.275 0.576 0.833 (multiplicity 4)
O 0.367 0.182 0.381 (multiplicity 4)

Largest 10 diffraction maxima, by angle, 2θ from 15° to 90°:
- 16.12°, I 87, (1 0 0)
- 18.79°, I 39, (0 2 1)
- 22.07°, I 35, (1 2 -1)
- 24.19°, I 61, (1 1 -2)
- 27.37°, I 100, (1 2 1)
- 31.44°, I 31, (2 1 -1)
- 32.25°, I 31, (0 3 2)
- 32.34°, I 38, (1 3 -2)
- 34.32°, I 28, (1 4 0)
- 38.09°, I 30, (1 4 1)



# 7
Diffraction record for Co3O2F4. The powder diffraction line list is theoretical, not measured: it uses a PBE+U-relaxed structure and a wavelength of 1.5418 Å.
Peak positions follow from Bragg's law for the DFT cell and can differ from measured ones.

abc: 6.629 6.608 9.384
angles: 90.00 90.39 90.00
Space group C2 (No. 5)
Asymmetric unit:
Co 0.000 0.000 0.000 (multiplicity 2)
Co 0.000 0.491 0.500 (multiplicity 2)
Co 0.001 0.034 0.672 (multiplicity 4)
Co 0.037 0.501 0.827 (multiplicity 4)
O 0.005 0.308 0.666 (multiplicity 4)
O 0.192 0.005 0.167 (multiplicity 4)
F 0.000 0.310 0.000 (multiplicity 2)
F 0.000 0.693 0.000 (multiplicity 2)
F 0.006 0.714 0.666 (multiplicity 4)
F 0.192 0.010 0.499 (multiplicity 4)
F 0.216 0.005 0.830 (multiplicity 4)

Largest 10 diffraction maxima, by angle, 2θ from 15° to 90°:
- 26.90°, I 98, (2 0 0)
- 26.99°, I 100, (0 2 0)
- 34.41°, I 60, (1 1 -3)
- 34.57°, I 60, (1 1 3)
- 39.68°, I 22, (0 2 3)
- 52.40°, I 28, (3 1 -3)
- 52.61°, I 31, (1 3 -3)
- 52.73°, I 60, (1 3 3)
- 59.07°, I 21, (0 0 6)
- 67.19°, I 20, (3 3 3)



# 8
Diffraction record for NiP2O7. The powder diffraction line list is theoretical, not measured: it uses a PBE+U-relaxed structure and a wavelength of 1.5418 Å.
Peak positions follow from Bragg's law for the DFT cell and can differ from measured ones.

abc: 6.173 9.016 10.399
angles: 65.61 80.97 73.72
Space group P1 (No. 1)
Asymmetric unit:
Ni 0.000 0.000 0.000 (multiplicity 1)
Ni 0.082 0.362 0.029 (multiplicity 1)
Ni 0.325 0.881 0.526 (multiplicity 1)
Ni 0.410 0.243 0.554 (multiplicity 1)
P 0.000 0.342 0.745 (multiplicity 1)
P 0.120 0.959 0.241 (multiplicity 1)
P 0.288 0.282 0.314 (multiplicity 1)
P 0.410 0.901 0.809 (multiplicity 1)
P 0.603 0.264 0.074 (multiplicity 1)
P 0.613 0.525 0.562 (multiplicity 1)
P 0.795 0.718 0.993 (multiplicity 1)
P 0.805 0.979 0.480 (multiplicity 1)
O 0.014 0.871 0.566 (multiplicity 1)
O 0.020 0.600 0.968 (multiplicity 1)
O 0.065 0.836 0.190 (multiplicity 1)
O 0.087 0.338 0.223 (multiplicity 1)
O 0.109 0.393 0.838 (multiplicity 1)
O 0.133 0.365 0.602 (multiplicity 1)
O 0.143 0.106 0.090 (multiplicity 1)
O 0.265 0.137 0.465 (multiplicity 1)
O 0.277 0.879 0.953 (multiplicity 1)
O 0.299 0.850 0.718 (multiplicity 1)
O 0.320 0.904 0.332 (multiplicity 1)
O 0.343 0.406 0.363 (multiplicity 1)
O 0.388 0.642 0.588 (multiplicity 1)
O 0.393 0.372 0.989 (multiplicity 1)
O 0.454 0.078 0.738 (multiplicity 1)
O 0.506 0.205 0.238 (multiplicity 1)
O 0.556 0.350 0.620 (multiplicity 1)
O 0.641 0.763 0.859 (multiplicity 1)
O 0.643 0.865 0.509 (multiplicity 1)
O 0.669 0.664 0.131 (multiplicity 1)
O 0.701 0.147 0.495 (multiplicity 1)
O 0.707 0.097 0.057 (multiplicity 1)
O 0.740 0.582 0.424 (multiplicity 1)
O 0.764 0.377 0.047 (multiplicity 1)
O 0.768 0.480 0.696 (multiplicity 1)
O 0.856 0.893 0.932 (multiplicity 1)
O 0.900 0.035 0.317 (multiplicity 1)
O 0.958 0.165 0.815 (multiplicity 1)

Largest 10 diffraction maxima, by angle, 2θ from 15° to 90°:
- 17.29°, I 55, (1 0 1)
- 18.05°, I 82, (1 0 -1)
- 18.76°, I 76, (0 0 2)
- 21.22°, I 37, (-1 1 1)
- 21.77°, I 29, (1 2 1)
- 22.30°, I 43, (0 2 0)
- 23.74°, I 100, (1 2 0)
- 31.22°, I 35, (0 3 1)
- 31.49°, I 30, (1 0 3)
- 32.11°, I 30, (2 0 -1)



What did the eighth record say?
Diffraction record for NiP2O7. The powder diffraction line list is theoretical, not measured: it uses a PBE+U-relaxed structure and a wavelength of 1.5418 Å.
Peak positions follow from Bragg's law for the DFT cell and can differ from measured ones.

abc: 6.173 9.016 10.399
angles: 65.61 80.97 73.72
Space group P1 (No. 1)
Asymmetric unit:
Ni 0.000 0.000 0.000 (multiplicity 1)
Ni 0.082 0.362 0.029 (multiplicity 1)
Ni 0.325 0.881 0.526 (multiplicity 1)
Ni 0.410 0.243 0.554 (multiplicity 1)
P 0.000 0.342 0.745 (multiplicity 1)
P 0.120 0.959 0.241 (multiplicity 1)
P 0.288 0.282 0.314 (multiplicity 1)
P 0.410 0.901 0.809 (multiplicity 1)
P 0.603 0.264 0.074 (multiplicity 1)
P 0.613 0.525 0.562 (multiplicity 1)
P 0.795 0.718 0.993 (multiplicity 1)
P 0.805 0.979 0.480 (multiplicity 1)
O 0.014 0.871 0.566 (multiplicity 1)
O 0.020 0.600 0.968 (multiplicity 1)
O 0.065 0.836 0.190 (multiplicity 1)
O 0.087 0.338 0.223 (multiplicity 1)
O 0.109 0.393 0.838 (multiplicity 1)
O 0.133 0.365 0.602 (multiplicity 1)
O 0.143 0.106 0.090 (multiplicity 1)
O 0.265 0.137 0.465 (multiplicity 1)
O 0.277 0.879 0.953 (multiplicity 1)
O 0.299 0.850 0.718 (multiplicity 1)
O 0.320 0.904 0.332 (multiplicity 1)
O 0.343 0.406 0.363 (multiplicity 1)
O 0.388 0.642 0.588 (multiplicity 1)
O 0.393 0.372 0.989 (multiplicity 1)
O 0.454 0.078 0.738 (multiplicity 1)
O 0.506 0.205 0.238 (multiplicity 1)
O 0.556 0.350 0.620 (multiplicity 1)
O 0.641 0.763 0.859 (multiplicity 1)
O 0.643 0.865 0.509 (multiplicity 1)
O 0.669 0.664 0.131 (multiplicity 1)
O 0.701 0.147 0.495 (multiplicity 1)
O 0.707 0.097 0.057 (multiplicity 1)
O 0.740 0.582 0.424 (multiplicity 1)
O 0.764 0.377 0.047 (multiplicity 1)
O 0.768 0.480 0.696 (multiplicity 1)
O 0.856 0.893 0.932 (multiplicity 1)
O 0.900 0.035 0.317 (multiplicity 1)
O 0.958 0.165 0.815 (multiplicity 1)

Largest 10 diffraction maxima, by angle, 2θ from 15° to 90°:
- 17.29°, I 55, (1 0 1)
- 18.05°, I 82, (1 0 -1)
- 18.76°, I 76, (0 0 2)
- 21.22°, I 37, (-1 1 1)
- 21.77°, I 29, (1 2 1)
- 22.30°, I 43, (0 2 0)
- 23.74°, I 100, (1 2 0)
- 31.22°, I 35, (0 3 1)
- 31.49°, I 30, (1 0 3)
- 32.11°, I 30, (2 0 -1)